Structure and computed powder diffractogram of Ba8Rh3I4F (a crystal structure in Alexandria, relaxed with PBE; Cu Kα (weighted mean of Kα1 and Kα2)).
Lines closer than 0.1° are merged.

Atomic structure:
Lattice parameters (Å, degrees): 9.1168 9.1168 25.7513 90.00 90.00 120.00
Space group R-3m (No. 166, hexagonal axes)
One atom of each set of equivalent atoms:
Ba1 0.0000 0.0000 0.2352 (multiplicity 6)
Ba2 0.0045 0.5022 0.7692 (multiplicity 18)
Rh1 0.0000 0.5000 0.5000 (multiplicity 9)
I1 0.0000 0.0000 0.0000 (multiplicity 3)
I2 0.0000 0.5000 0.0000 (multiplicity 9)
F1 0.0000 0.0000 0.5000 (multiplicity 3)

Top 8 peaks for 10 to 90 degrees two-theta, in order of falling intensity:
- 3.365 Å, rel. 100, (0 2 4)
- 2.279 Å, rel. 38, (2 2 0)
- 2.495 Å, rel. 31, (2 0 8)
- 1.887 Å, rel. 19, (4 0 4)
- 1.454 Å, rel. 16, (2 4 4)
- 3.133 Å, rel. 14, (2 0 5)
- 1.783 Å, rel. 11, (2 2 9)
- 1.683 Å, rel. 9, (0 4 8)

Structure and computed powder diffractogram of BaInF5 (a crystal structure in Alexandria, relaxed with PBE; Cu Kα (weighted mean of Kα1 and Kα2)).
Lines closer than 0.1° are merged.

Atomic structure:
Lattice parameters (Å, degrees): 4.340 7.347 9.218 90.00 90.00 90.00
Space group Immm (No. 71)
One atom of each set of equivalent atoms:
Ba1 0.000 0.000 0.000 (multiplicity 2)
In1 0.000 0.000 0.500 (multiplicity 2)
F1 0.000 0.000 0.277 (multiplicity 4)
F2 0.000 0.289 0.500 (multiplicity 4)
F3 0.000 0.500 0.000 (multiplicity 2)

Top 8 peaks for 10 to 90 degrees two-theta, in order of falling intensity:
- 3.737 Å, rel. 100, (1 1 0)
- 4.609 Å, rel. 91, (0 0 2)
- 3.674 Å, rel. 54, (0 2 0)
- 2.903 Å, rel. 50, (1 1 2)
- 1.962 Å, rel. 49, (2 0 2)
- 2.873 Å, rel. 29, (0 2 2)
- 2.133 Å, rel. 27, (1 3 0)
- 1.936 Å, rel. 23, (1 3 2)

What is the formula in the second record? BaInF5